Calculated powder diffraction line list
Compound: Li4Co3O7
Radiation: Cu Kα
Structure: a DFT-relaxed cell (GGA+U, the Materials Project)

Cell and atoms:
Cell: 5.8651 6.5651 7.6729 Å, 114.88 99.97 103.98°
Sites, in units of the cell vectors:
Li 0.0000 0.0000 0.0000
Li 0.0714 0.5817 0.7198
Li 0.2084 0.7145 0.1332
Li 0.3559 0.8587 0.5682
Li 0.5000 0.0000 0.0000
Li 0.6441 0.1413 0.4318
Li 0.7916 0.2855 0.8668
Li 0.9286 0.4183 0.2802
Co 0.1384 0.1431 0.4273
Co 0.2803 0.2842 0.8655
Co 0.4263 0.4195 0.2817
Co 0.5737 0.5805 0.7183
Co 0.7197 0.7158 0.1345
Co 0.8616 0.8569 0.5727
O 0.0278 0.8112 0.3713
O 0.1252 0.3637 0.0682
O 0.1536 0.9296 0.7652
O 0.2491 0.4755 0.4946
O 0.3160 0.0920 0.2398
O 0.4034 0.6480 0.9315
O 0.4378 0.2274 0.6374
O 0.5622 0.7726 0.3626
O 0.5966 0.3520 0.0685
O 0.6840 0.9080 0.7602
O 0.7509 0.5245 0.5054
O 0.8464 0.0704 0.2348
O 0.8748 0.6363 0.9318
O 0.9722 0.1888 0.6287

Most intense lines, 10 to 90 degrees two-theta, low angle first:
| two_theta | d (Å) | I (rel.) |
| --- | --- | --- |
| 18.40 | 4.821 | 100 |
| 35.99 | 2.495 | 14 |
| 36.21 | 2.481 | 14 |
| 36.43 | 2.466 | 13 |
| 43.50 | 2.080 | 28 |
| 43.76 | 2.069 | 27 |
| 44.17 | 2.050 | 26 |
| 63.46 | 1.466 | 15 |

---

Calculated powder diffraction line list
Compound: SrNdNiO4
Radiation: Cu Kα
Structure: a DFT-relaxed cell (GGA+U, the Materials Project)

Cell and atoms:
Cell: 6.7592 6.7592 6.7592 Å, 147.07 147.07 47.27°
Sites, in units of the cell vectors:
Sr 0.0000 0.0000 0.0000
Nd 0.7206 0.7206 0.0000
Ni 0.3622 0.3622 0.0000
O 0.1960 0.1960 0.0000
O 0.3505 0.8505 0.5000
O 0.5315 0.5315 0.0000
O 0.8505 0.3505 0.5000

Most intense lines, 10 to 90 degrees two-theta, low angle first:
| two_theta | d (Å) | I (rel.) |
| --- | --- | --- |
| 14.30 | 6.192 | 16 |
| 24.31 | 3.661 | 22 |
| 31.86 | 2.808 | 100 |
| 33.06 | 2.710 | 72 |
| 43.51 | 2.080 | 20 |
| 44.43 | 2.039 | 28 |
| 47.45 | 1.916 | 37 |
| 58.30 | 1.583 | 37 |

---

Calculated powder diffraction line list
Compound: Na4Li5W10O30
Radiation: Cu Kα
Structure: a DFT-relaxed cell (GGA+U, the Materials Project)

Cell and atoms:
Cell: 8.8302 8.8528 8.8656 Å, 66.02 89.71 78.24°
Sites, in units of the cell vectors:
Na 0.0000 0.0000 0.0000
Na 0.0930 0.4883 0.2056
Na 0.7986 0.9933 0.6005
Na 0.8986 0.4827 0.8049
Li 0.2972 0.4919 0.5144
Li 0.3586 0.9334 0.8472
Li 0.4264 0.4963 0.0615
Li 0.6735 0.5925 0.3636
Li 0.6967 0.9786 0.1756
W 0.0532 0.2415 0.6026
W 0.1506 0.7436 0.8036
W 0.2516 0.2461 0.0002
W 0.3532 0.7441 0.2087
W 0.4499 0.2361 0.4063
W 0.5473 0.7419 0.6055
W 0.6527 0.2419 0.8013
W 0.7505 0.7425 0.0030
W 0.8524 0.2398 0.2051
W 0.9534 0.7388 0.4114
O 0.0324 0.7616 0.5979
O 0.0543 0.2402 0.1021
O 0.1412 0.2356 0.8058
O 0.1477 0.9812 0.7127
O 0.1601 0.6954 0.3247
O 0.1756 0.5007 0.8969
O 0.2431 0.2939 0.4892
O 0.2734 0.7158 0.0098
O 0.2973 0.9843 0.0951
O 0.3495 0.2755 0.1877
O 0.3692 0.7124 0.7221
O 0.4301 0.4848 0.3118
O 0.4419 0.2612 0.8946
O 0.4567 0.7266 0.4119
O 0.4768 0.9997 0.5090
O 0.5546 0.2262 0.6192
O 0.5567 0.7298 0.1144
O 0.6259 0.4833 0.6909
O 0.6605 0.7590 0.8009
O 0.6631 0.2204 0.3104
O 0.6838 0.9981 0.9392
O 0.7348 0.7732 0.4919
O 0.7478 0.2544 0.9937
O 0.8213 0.4915 0.1036
O 0.8427 0.7305 0.2181
O 0.8532 0.1976 0.7235
O 0.9038 0.9892 0.2698
O 0.9523 0.7744 0.9054
O 0.9587 0.2277 0.4158
O 0.9608 0.4899 0.5297

Most intense lines, 10 to 90 degrees two-theta, low angle first:
| two_theta | d (Å) | I (rel.) |
| --- | --- | --- |
| 22.40 | 3.970 | 51 |
| 22.54 | 3.944 | 100 |
| 31.94 | 2.802 | 37 |
| 32.06 | 2.792 | 55 |
| 32.09 | 2.789 | 19 |
| 46.02 | 1.972 | 24 |
| 51.57 | 1.772 | 16 |
| 51.84 | 1.764 | 27 |

---

Calculated powder diffraction line list
Compound: LiV3OF11
Radiation: Cu Kα
Structure: a DFT-relaxed cell (GGA+U, the Materials Project)

Cell and atoms:
Cell: 5.2894 5.4682 15.6344 Å, 80.14 89.96 89.34°
Sites, in units of the cell vectors:
Li 0.0000 0.0000 0.0000
Li 0.4120 0.8437 0.3566
V 0.1781 0.6328 0.1800
V 0.1829 0.3102 0.8368
V 0.1854 0.9671 0.5150
V 0.6635 0.4915 0.5114
V 0.6783 0.8029 0.8405
V 0.6838 0.1426 0.1681
O 0.4609 0.7633 0.4891
O 0.7693 0.1640 0.0655
F 0.0911 0.6845 0.0653
F 0.0924 0.3430 0.7266
F 0.1132 0.0043 0.3984
F 0.2468 0.2466 0.9550
F 0.2636 0.9273 0.6265
F 0.2718 0.6028 0.2923
F 0.3695 0.9365 0.1548
F 0.3808 0.6185 0.8206
F 0.3854 0.2716 0.4891
F 0.4715 0.4514 0.1533
F 0.4846 0.1132 0.8190
F 0.5916 0.0836 0.2881
F 0.6056 0.4138 0.6245
F 0.6092 0.7717 0.9540
F 0.7587 0.5117 0.3999
F 0.7724 0.8455 0.7310
F 0.8794 0.4978 0.8645
F 0.8867 0.8209 0.2031
F 0.8947 0.1733 0.5306
F 0.9647 0.6760 0.5345
F 0.9765 0.9945 0.8693
F 0.9833 0.3366 0.2014

Most intense lines, 10 to 90 degrees two-theta, low angle first:
| two_theta | d (Å) | I (rel.) |
| --- | --- | --- |
| 17.27 | 5.135 | 100 |
| 24.85 | 3.583 | 81 |
| 25.10 | 3.547 | 80 |
| 32.76 | 2.734 | 13 |
| 34.95 | 2.567 | 14 |
| 39.00 | 2.309 | 19 |
| 47.56 | 1.912 | 14 |
| 48.15 | 1.890 | 13 |

---

Calculated powder diffraction line list
Compound: NaFeS2O2
Radiation: Cu Kα
Structure: a DFT-relaxed cell (GGA+U, the Materials Project)

Cell and atoms:
Cell: 6.3365 6.3365 6.4928 Å, 98.04 98.04 118.56°
Sites, in units of the cell vectors:
Na 0.1075 0.8925 0.7500
Na 0.8925 0.1075 0.2500
Fe 0.4302 0.5698 0.7500
Fe 0.5698 0.4302 0.2500
S 0.1358 0.4269 0.9647
S 0.4269 0.1358 0.4647
S 0.5731 0.8642 0.5353
S 0.8642 0.5731 0.0353
O 0.2565 0.2692 0.5090
O 0.2692 0.2565 0.0090
O 0.7308 0.7435 0.9910
O 0.7435 0.7308 0.4910

Most intense lines, 10 to 90 degrees two-theta, low angle first:
| two_theta | d (Å) | I (rel.) |
| --- | --- | --- |
| 16.27 | 5.447 | 56 |
| 16.40 | 5.406 | 62 |
| 24.20 | 3.678 | 100 |
| 30.06 | 2.972 | 23 |
| 33.69 | 2.660 | 48 |
| 34.67 | 2.587 | 57 |
| 46.49 | 1.954 | 29 |
| 58.86 | 1.569 | 30 |

---

Calculated powder diffraction line list
Compound: Li3Co5O10
Radiation: Cu Kα
Structure: a DFT-relaxed cell (GGA+U, the Materials Project)

Cell and atoms:
Cell: 2.8340 9.9567 12.2762 Å, 91.02 96.21 90.60°
Sites, in units of the cell vectors:
Li 0.0000 0.0000 0.0000
Li 0.0510 0.5003 0.5497
Li 0.3835 0.0032 0.7851
Li 0.6335 0.0036 0.2236
Li 0.7527 0.9988 0.5658
Li 0.8439 0.5002 0.1403
Co 0.0910 0.7517 0.6254
Co 0.1733 0.2514 0.3183
Co 0.2856 0.7516 0.0234
Co 0.3704 0.2550 0.7166
Co 0.4873 0.7490 0.4222
Co 0.5717 0.2422 0.1179
Co 0.6881 0.7491 0.8249
Co 0.7686 0.2459 0.5182
Co 0.8853 0.7463 0.2229
Co 0.9702 0.2487 0.9181
O 0.0271 0.8488 0.4917
O 0.0444 0.3423 0.0555
O 0.1055 0.1408 0.1886
O 0.1519 0.6570 0.7575
O 0.2177 0.8583 0.8894
O 0.2426 0.3463 0.4548
O 0.2948 0.1432 0.5865
O 0.3487 0.6459 0.1524
O 0.4188 0.8453 0.2913
O 0.4405 0.3371 0.8504
O 0.4976 0.1404 0.9820
O 0.5532 0.6485 0.5556
O 0.6245 0.8572 0.6910
O 0.6469 0.3456 0.2510
O 0.7003 0.1515 0.3810
O 0.7470 0.6583 0.9529
O 0.8180 0.8541 0.0942
O 0.8443 0.3500 0.6511
O 0.8976 0.1483 0.7804
O 0.9492 0.6523 0.3569

Most intense lines, 10 to 90 degrees two-theta, low angle first:
| two_theta | d (Å) | I (rel.) |
| --- | --- | --- |
| 17.82 | 4.977 | 100 |
| 36.79 | 2.443 | 7 |
| 37.82 | 2.378 | 14 |
| 41.16 | 2.193 | 14 |
| 45.51 | 1.993 | 7 |
| 45.73 | 1.984 | 7 |
| 46.37 | 1.958 | 7 |
| 52.49 | 1.743 | 12 |

---

Calculated powder diffraction line list
Compound: Mg6CoBO8
Radiation: Cu Kα
Structure: a DFT-relaxed cell (GGA+U, the Materials Project)

Cell and atoms:
Cell: 4.2824 4.2824 8.4982 Å, 90.00 90.00 90.00°
Sites, in units of the cell vectors:
Mg 0.0000 0.0000 0.0000
Mg 0.0000 0.5000 0.2705
Mg 0.0000 0.5000 0.7295
Mg 0.5000 0.0000 0.2705
Mg 0.5000 0.0000 0.7295
Mg 0.5000 0.5000 0.0000
Co 0.0000 0.0000 0.5000
B 0.5000 0.5000 0.5000
O 0.0000 0.0000 0.2388
O 0.0000 0.0000 0.7612
O 0.0000 0.5000 0.0000
O 0.0000 0.5000 0.5000
O 0.5000 0.0000 0.0000
O 0.5000 0.0000 0.5000
O 0.5000 0.5000 0.3277
O 0.5000 0.5000 0.6723

Most intense lines, 10 to 90 degrees two-theta, low angle first:
| two_theta | d (Å) | I (rel.) |
| --- | --- | --- |
| 10.41 | 8.498 | 30 |
| 36.43 | 2.466 | 27 |
| 38.09 | 2.363 | 19 |
| 42.21 | 2.141 | 100 |
| 42.55 | 2.125 | 34 |
| 61.22 | 1.514 | 28 |
| 61.48 | 1.508 | 39 |
| 77.40 | 1.233 | 18 |

---

Calculated powder diffraction line list
Compound: Li19Co4O16
Radiation: Cu Kα
Structure: a DFT-relaxed cell (GGA+U, the Materials Project)

Cell and atoms:
Cell: 7.1837 6.7253 7.8692 Å, 90.00 90.14 90.00°
Sites, in units of the cell vectors:
Li 0.0000 0.0000 0.0000
Li 0.0033 0.0000 0.3189
Li 0.0141 0.5000 0.8217
Li 0.0166 0.5000 0.5137
Li 0.2573 0.2461 0.2495
Li 0.2573 0.7539 0.2495
Li 0.2580 0.2609 0.8951
Li 0.2580 0.7391 0.8951
Li 0.2813 0.2572 0.5735
Li 0.2813 0.7428 0.5735
Li 0.5071 0.0000 0.1513
Li 0.5172 0.0000 0.4670
Li 0.5242 0.5000 0.6762
Li 0.7224 0.2537 0.0772
Li 0.7224 0.7463 0.0772
Li 0.7620 0.2372 0.7175
Li 0.7620 0.7628 0.7175
Li 0.7750 0.2460 0.3957
Li 0.7750 0.7540 0.3957
Co 0.0361 0.0000 0.6279
Co 0.4959 0.0000 0.8404
Co 0.5232 0.5000 0.3547
Co 0.9894 0.5000 0.1349
O 0.0495 0.2537 0.7136
O 0.0495 0.7463 0.7136
O 0.2000 0.5000 0.0253
O 0.2288 0.0000 0.4551
O 0.2782 0.5000 0.4424
O 0.2880 0.0000 0.0045
O 0.4791 0.2432 0.7394
O 0.4791 0.7568 0.7394
O 0.5416 0.2439 0.2708
O 0.5416 0.7561 0.2708
O 0.7259 0.0000 0.9614
O 0.7354 0.5000 0.5146
O 0.7975 0.0000 0.5207
O 0.8122 0.5000 0.9796
O 0.9719 0.2507 0.2134
O 0.9719 0.7493 0.2134

Most intense lines, 10 to 90 degrees two-theta, low angle first:
| two_theta | d (Å) | I (rel.) |
| --- | --- | --- |
| 17.35 | 5.113 | 80 |
| 21.33 | 4.165 | 100 |
| 24.79 | 3.592 | 25 |
| 25.82 | 3.451 | 66 |
| 30.41 | 2.939 | 33 |
| 33.79 | 2.653 | 34 |
| 37.34 | 2.408 | 29 |
| 38.93 | 2.314 | 32 |

---

Calculated powder diffraction line list
Compound: MgCo4Ag4O8
Radiation: Cu Kα
Structure: a DFT-relaxed cell (GGA+U, the Materials Project)

Cell and atoms:
Cell: 3.0506 3.0506 26.9021 Å, 90.44 90.44 60.56°
Sites, in units of the cell vectors:
Mg 0.0000 0.0000 0.0000
Co 0.0013 0.0013 0.6757
Co 0.0048 0.0048 0.9002
Co 0.3363 0.3363 0.4441
Co 0.3375 0.3375 0.2112
Ag 0.0101 0.0101 0.3277
Ag 0.3326 0.3326 0.7914
Ag 0.6688 0.6688 0.5600
Ag 0.6729 0.6729 0.0914
O 0.0059 0.0059 0.4064
O 0.0101 0.0101 0.2493
O 0.3318 0.3318 0.7133
O 0.3389 0.3389 0.8703
O 0.6601 0.6601 0.1740
O 0.6640 0.6640 0.9660
O 0.6671 0.6671 0.4818
O 0.6709 0.6709 0.6383

Most intense lines, 10 to 90 degrees two-theta, low angle first:
| two_theta | d (Å) | I (rel.) |
| --- | --- | --- |
| 26.51 | 3.363 | 33 |
| 29.89 | 2.989 | 70 |
| 34.42 | 2.606 | 100 |
| 34.64 | 2.589 | 29 |
| 35.22 | 2.548 | 65 |
| 37.86 | 2.377 | 45 |
| 39.51 | 2.281 | 33 |
| 60.72 | 1.525 | 40 |